Simulated powder diffractogram
Compound: AgP6S
Radiation: Cu Ka
Structure: a DFT-relaxed cell (PBE, OQMD)
Kinematic intensities with the Lorentz-polarization factor, no thermal factor.

Structural model:
```
data_AgP6S
_chemical_formula_sum 'Ag4 P24 S4'
_cell_length_a 8.5559
_cell_length_b 8.5559
_cell_length_c 8.5559
_cell_angle_alpha 90.00
_cell_angle_beta 90.00
_cell_angle_gamma 90.00
_symmetry_space_group_name_H-M 'F -4 3 m'
_symmetry_Int_Tables_number 216
_symmetry_space_group_name_Hall 'F -4 2 3'
loop_
_atom_site_label
_atom_site_type_symbol
_atom_site_fract_x
_atom_site_fract_y
_atom_site_fract_z
Ag1 Ag 0.0000 0.0000 0.0000
P1 P 0.0440 0.2500 0.2500
S1 S 0.2500 0.2500 0.7500
```

Main lines, low angle first (2θ = 10–90°):
d/Å, two_theta, I (rel.), h k l
4.940, 18.0, 100, 1 1 1
3.025, 29.5, 36, 2 2 0
2.580, 34.8, 65, 3 1 1
2.470, 36.4, 72, 2 2 2
2.139, 42.3, 54, 4 0 0
1.963, 46.3, 45, 3 3 1